The following is a computed powder X-ray diffraction pattern of SrCaYBiO6. It was derived from a structure optimized by DFT (GGA-PBE), using Cu Ka.
Intensities are scaled so that the largest is 100.

Main lines, most intense first (2θ from 5° to 70°):
(2 2 0), 29.5°, I 100
(4 2 2), 52.3°, I 41
(4 0 0), 42.2°, I 33
(2 0 0), 20.7°, I 31
(1 1 1), 17.9°, I 21
(4 4 0), 61.2°, I 21
(6 2 0), 69.3°, I 18
(4 2 0), 47.4°, I 14
(3 1 1), 34.7°, I 13
(6 0 0), 65.3°, I 7

Structure:
Lattice parameters (Å, degrees): 8.571 8.571 8.571 90.00 90.00 90.00
Space group F-43m (No. 216)
Inequivalent atoms, fractional coordinates:
Sr: 0.000 0.000 0.000
Ca: 0.000 0.000 0.500
Y: 0.250 0.250 0.250
Bi: 0.250 0.250 0.750
O: 0.006 0.250 0.750